Entry 1:
For CsSr2Nb3O10, the PBE geometry in Alexandria gives the computed PXRD pattern in this record (Cu Kα X-rays).
No peak broadening, texture or thermal motion is included.

Top 6 peaks for 10 to 90 degrees two-theta, in order of rising 2θ:
hkl 1 0 2, 3.562 Å, 25.00°, intensity 15; hkl 1 0 3, 3.175 Å, 28.10°, intensity 100; hkl 1 1 0, 2.827 Å, 31.65°, intensity 50; hkl 1 0 4, 2.799 Å, 31.98°, intensity 12; hkl 2 0 0, 1.999 Å, 45.37°, intensity 32; hkl 2 1 3, 1.692 Å, 54.22°, intensity 31

Structural model:
```
data_CsSr2Nb3O10
_chemical_formula_sum 'Cs1 Sr2 Nb3 O10'
_cell_length_a 3.9983
_cell_length_b 3.9983
_cell_length_c 15.6777
_cell_angle_alpha 90.00
_cell_angle_beta 90.00
_cell_angle_gamma 90.00
_space_group_name_H-M_alt 'P 4/m m m'
_space_group_IT_number 123
_space_group_name_Hall '-P 4 2'
loop_
_atom_site_label
_atom_site_fract_x
_atom_site_fract_y
_atom_site_fract_z
_atom_site_occupancy
Cs1 0.0000 0.0000 0.0000 1
Sr1 0.0000 0.0000 0.3559 1
Nb1 0.5000 0.5000 0.2190 1
Nb2 0.5000 0.5000 0.5000 1
O1 0.0000 0.5000 0.2451 1
O2 0.0000 0.5000 0.5000 1
O3 0.5000 0.5000 0.1045 1
O4 0.5000 0.5000 0.3735 1
```

---

Entry 2:
For Pr3GeSbCl, the PBE geometry in Alexandria gives the computed PXRD pattern in this record (Cu Kα X-rays).
No peak broadening, texture or thermal motion is included.

Top 6 peaks for 10 to 90 degrees two-theta, in order of rising 2θ:
hkl 0 0 3, 3.145 Å, 28.38°, intensity 66; hkl 2 1 0, 3.105 Å, 28.75°, intensity 100; hkl 2 1 -1, 3.092 Å, 28.87°, intensity 60; hkl 0 2 0, 2.247 Å, 40.13°, intensity 45; hkl 4 0 -1, 2.196 Å, 41.10°, intensity 29; hkl 0 2 3, 1.829 Å, 49.87°, intensity 31

Structural model:
```
data_Pr3GeSbCl
_chemical_formula_sum 'Pr6 Ge2 Sb2 Cl2'
_cell_length_a 8.7861
_cell_length_b 4.4943
_cell_length_c 9.6497
_cell_angle_alpha 90.00
_cell_angle_beta 102.12
_cell_angle_gamma 90.00
_space_group_name_H-M_alt 'P 1 21/m 1'
_space_group_IT_number 11
_space_group_name_Hall '-P 2yb'
loop_
_atom_site_label
_atom_site_fract_x
_atom_site_fract_y
_atom_site_fract_z
_atom_site_occupancy
Pr1 0.0776 0.2500 0.3453 1
Pr2 0.2383 0.2500 0.9848 1
Pr3 0.3910 0.7500 0.6344 1
Ge1 0.1604 0.2500 0.6616 1
Sb1 0.3213 0.7500 0.2791 1
Cl1 0.4055 0.7500 0.9239 1
```

---

Entry 3:
For SiSe8, the PBE geometry in Alexandria gives the computed PXRD pattern in this record (Cu Kα X-rays).
No peak broadening, texture or thermal motion is included.

Top 6 peaks for 10 to 90 degrees two-theta, in order of rising 2θ:
hkl 2 2 0, 4.799 Å, 18.49°, intensity 28; hkl 3 1 0, 4.292 Å, 20.69°, intensity 70; hkl 3 0 1, 2.861 Å, 31.26°, intensity 45; hkl 3 2 1, 2.637 Å, 34.00°, intensity 55; hkl 4 1 1, 2.458 Å, 36.56°, intensity 46; hkl 5 0 1, 2.188 Å, 41.27°, intensity 100

Structural model:
```
data_SiSe8
_chemical_formula_sum 'Si2 Se16'
_cell_length_a 13.5736
_cell_length_b 13.5736
_cell_length_c 3.6940
_cell_angle_alpha 90.00
_cell_angle_beta 90.00
_cell_angle_gamma 90.00
_space_group_name_H-M_alt 'I 4/m m m'
_space_group_IT_number 139
_space_group_name_Hall '-I 4 2'
loop_
_atom_site_label
_atom_site_fract_x
_atom_site_fract_y
_atom_site_fract_z
_atom_site_occupancy
Si1 0.0000 0.0000 0.0000 1
Se1 0.0000 0.1870 0.0000 1
Se2 0.1390 0.1390 0.5000 1
```

---

Entry 4:
For Ce5UOs4, the PBE geometry in Alexandria gives the computed PXRD pattern in this record (Cu Kα X-rays).
No peak broadening, texture or thermal motion is included.

Top 6 peaks for 10 to 90 degrees two-theta, in order of rising 2θ:
hkl 2 0 -1, 5.658 Å, 15.66°, intensity 30; hkl 3 1 -2, 2.550 Å, 35.20°, intensity 100; hkl 6 0 0, 2.518 Å, 35.66°, intensity 50; hkl 3 1 2, 2.220 Å, 40.65°, intensity 81; hkl 0 2 0, 2.206 Å, 40.91°, intensity 40; hkl 6 2 0, 1.659 Å, 55.37°, intensity 29

Structural model:
```
data_Ce5UOs4
_chemical_formula_sum 'Ce10 U2 Os8'
_cell_length_a 15.4488
_cell_length_b 4.4122
_cell_length_c 6.9105
_cell_angle_alpha 90.00
_cell_angle_beta 102.06
_cell_angle_gamma 90.00
_space_group_name_H-M_alt 'C 1 2/m 1'
_space_group_IT_number 12
_space_group_name_Hall '-C 2y'
loop_
_atom_site_label
_atom_site_fract_x
_atom_site_fract_y
_atom_site_fract_z
_atom_site_occupancy
Ce1 0.0000 0.0000 0.0000 1
Ce2 0.1682 0.5000 0.0512 1
Ce3 0.1818 0.5000 0.4994 1
U1 0.0000 0.0000 0.5000 1
Os1 0.0117 0.5000 0.7192 1
Os2 0.1545 0.0000 0.7590 1
```

---

Entry 5:
For TbErIrAu, the PBE geometry in Alexandria gives the computed PXRD pattern in this record (Cu Kα X-rays).
No peak broadening, texture or thermal motion is included.

Top 6 peaks for 10 to 90 degrees two-theta, in order of rising 2θ:
hkl 0 0 2, 3.512 Å, 25.36°, intensity 1; hkl 1 1 0, 2.483 Å, 36.17°, intensity 100; hkl 2 0 0, 1.756 Å, 52.09°, intensity 18; hkl 2 1 2, 1.434 Å, 65.06°, intensity 36; hkl 2 2 0, 1.242 Å, 76.76°, intensity 11; hkl 3 1 0, 1.111 Å, 87.93°, intensity 16

Structural model:
```
data_TbErIrAu
_chemical_formula_sum 'Tb1 Er1 Ir1 Au1'
_cell_length_a 3.5112
_cell_length_b 3.5112
_cell_length_c 7.0266
_cell_angle_alpha 90.00
_cell_angle_beta 90.00
_cell_angle_gamma 90.00
_space_group_name_H-M_alt 'P 4 m m'
_space_group_IT_number 99
_space_group_name_Hall 'P 4 -2'
loop_
_atom_site_label
_atom_site_fract_x
_atom_site_fract_y
_atom_site_fract_z
_atom_site_occupancy
Tb1 0.0000 0.0000 0.0000 1
Er1 0.0000 0.0000 0.5338 1
Ir1 0.5000 0.5000 0.7629 1
Au1 0.5000 0.5000 0.2744 1
```

---

Entry 6:
For ErAlO3, the PBE geometry in Alexandria gives the computed PXRD pattern in this record (Cu Kα X-rays).
No peak broadening, texture or thermal motion is included.

Top 6 peaks for 10 to 90 degrees two-theta, in order of rising 2θ:
hkl 1 0 1, 3.728 Å, 23.87°, intensity 59; hkl 0 2 0, 3.699 Å, 24.06°, intensity 36; hkl 1 1 1, 3.330 Å, 26.78°, intensity 25; hkl 1 2 1, 2.626 Å, 34.14°, intensity 100; hkl 0 0 2, 2.587 Å, 34.67°, intensity 25; hkl 0 2 2, 2.120 Å, 42.65°, intensity 27

Structural model:
```
data_ErAlO3
_chemical_formula_sum 'Er4 Al4 O12'
_cell_length_a 5.3774
_cell_length_b 7.3987
_cell_length_c 5.1740
_cell_angle_alpha 90.00
_cell_angle_beta 90.00
_cell_angle_gamma 90.00
_space_group_name_H-M_alt 'P n m a'
_space_group_IT_number 62
_space_group_name_Hall '-P 2ac 2n'
loop_
_atom_site_label
_atom_site_fract_x
_atom_site_fract_y
_atom_site_fract_z
_atom_site_occupancy
Er1 0.0601 0.2500 0.0147 1
Al1 0.0000 0.0000 0.5000 1
O1 0.0268 0.7500 0.4070 1
O2 0.2025 0.5486 0.7979 1
```